No. 1
Structure and calculated powder diffractogram of Sm2DyEr4Mg (the PBE geometry in Alexandria; Cu Kα, 1.54184 Å).
Neutral-atom scattering factors, no anomalous dispersion.

Peak list (10 most intense, 2θ = 10–90°, by angle)
| Position (°2θ) | I/Imax |
| --- | --- |
| 31.2 | 100.0 |
| 35.8 | 17.4 |
| 36.4 | 33.2 |
| 51.9 | 24.1 |
| 52.4 | 11.7 |
| 61.4 | 14.5 |
| 62.2 | 14.0 |
| 62.3 | 13.9 |
| 65.0 | 12.3 |
| 84.8 | 6.0 |

Structural model:
Unit cell a=4.9473 b=4.9357 c=10.0465 alpha=90.00 beta=90.06 gamma=90.00
Fractional positions:
Sm  0.0000  0.0000  0.0000
Sm  0.5000  0.5000  0.5000
Dy  0.0000  0.0000  0.5000
Er  0.9998  0.5000  0.2492
Er  0.0002  0.5000  0.7508
Er  0.4996  0.0000  0.2491
Er  0.5004  0.0000  0.7509
Mg  0.5000  0.5000  0.0000

=====

No. 2
Structure and calculated powder diffractogram of Er6Tm4Mg (the PBE geometry in Alexandria; Cu Kα, 1.54184 Å).
Neutral-atom scattering factors, no anomalous dispersion.

Peak list (10 most intense, 2θ = 10–90°, by angle)
| Position (°2θ) | I/Imax |
| --- | --- |
| 22.3 | 31.2 |
| 29.0 | 40.7 |
| 29.8 | 41.9 |
| 31.7 | 100.0 |
| 32.0 | 33.6 |
| 35.2 | 67.6 |
| 41.4 | 55.8 |
| 44.7 | 25.1 |
| 59.8 | 26.7 |
| 66.2 | 23.8 |

Structural model:
Unit cell a=9.5458 b=9.5458 c=9.5458 alpha=140.77 beta=140.77 gamma=56.68
Fractional positions:
Er  0.0000  0.5000  0.5000
Er  0.0140  0.6473  0.0000
Er  0.3527  0.3527  0.3666
Er  0.5000  0.0000  0.5000
Er  0.6473  0.0140  0.0000
Er  0.9860  0.9860  0.6334
Tm  0.1892  0.1892  0.6476
Tm  0.4584  0.8108  0.0000
Tm  0.5416  0.5416  0.3524
Tm  0.8108  0.4584  0.0000
Mg  0.0000  0.0000  0.0000

=====

No. 3
Structure and calculated powder diffractogram of Mg4Hg (the PBE geometry in Alexandria; Cu Kα, 1.54184 Å).
Neutral-atom scattering factors, no anomalous dispersion.

Peak list (10 most intense, 2θ = 10–90°, by angle)
| Position (°2θ) | I/Imax |
| --- | --- |
| 14.5 | 100.0 |
| 16.6 | 75.3 |
| 21.1 | 42.2 |
| 23.1 | 35.7 |
| 28.2 | 38.5 |
| 28.6 | 38.2 |
| 34.9 | 73.3 |
| 35.1 | 35.8 |
| 35.4 | 34.5 |
| 37.7 | 59.1 |

Structural model:
Unit cell a=5.6330 b=5.6330 c=7.7747 alpha=126.17 beta=126.17 gamma=35.22
Fractional positions:
Mg  0.0897  0.0897  0.3824
Mg  0.2848  0.2848  0.1970
Mg  0.7152  0.7152  0.8030
Mg  0.9103  0.9103  0.6176
Hg  0.5000  0.5000  0.0000

=====

No. 4
Structure and calculated powder diffractogram of HoFeSi2 (the PBE geometry in Alexandria; Cu Kα, 1.54184 Å).
Neutral-atom scattering factors, no anomalous dispersion.

Peak list (10 most intense, 2θ = 10–90°, by angle)
| Position (°2θ) | I/Imax |
| --- | --- |
| 22.6 | 63.7 |
| 27.8 | 69.6 |
| 28.0 | 41.5 |
| 32.2 | 100.0 |
| 35.1 | 86.5 |
| 37.0 | 56.4 |
| 38.4 | 59.7 |
| 38.6 | 42.1 |
| 46.2 | 44.6 |
| 51.9 | 50.0 |

Structural model:
Unit cell a=6.7360 b=3.9293 c=9.7181 alpha=90.00 beta=90.00 gamma=90.00
Fractional positions:
Ho  0.1588  0.2500  0.1240
Ho  0.3412  0.7500  0.6240
Ho  0.6588  0.2500  0.3760
Ho  0.8412  0.7500  0.8760
Fe  0.0149  0.7500  0.3898
Fe  0.4851  0.2500  0.8898
Fe  0.5149  0.7500  0.1102
Fe  0.9851  0.2500  0.6102
Si  0.1530  0.2500  0.8132
Si  0.1846  0.2500  0.4247
Si  0.3154  0.7500  0.9247
Si  0.3470  0.7500  0.3132
Si  0.6530  0.2500  0.6868
Si  0.6846  0.2500  0.0753
Si  0.8154  0.7500  0.5753
Si  0.8470  0.7500  0.1868

=====

No. 5
Structure and calculated powder diffractogram of PmNd6Y6 (the PBE geometry in Alexandria; Cu Kα, 1.54184 Å).
Neutral-atom scattering factors, no anomalous dispersion.

Peak list (10 most intense, 2θ = 10–90°, by angle)
| Position (°2θ) | I/Imax |
| --- | --- |
| 26.2 | 78.6 |
| 27.8 | 37.3 |
| 30.3 | 37.7 |
| 30.6 | 100.0 |
| 31.2 | 26.8 |
| 34.2 | 70.4 |
| 34.8 | 31.9 |
| 49.0 | 26.6 |
| 53.9 | 37.3 |
| 55.1 | 38.8 |

Structural model:
Unit cell a=6.8043 b=6.8043 c=11.4679 alpha=90.00 beta=90.00 gamma=120.00
Fractional positions:
Pm  0.0000  0.0000  0.0000
Nd  0.0000  0.0000  0.3467
Nd  0.0000  0.0000  0.6533
Nd  0.3333  0.6667  0.0000
Nd  0.3333  0.6667  0.5000
Nd  0.6667  0.3333  0.0000
Nd  0.6667  0.3333  0.5000
Y  0.0000  0.5000  0.2472
Y  0.0000  0.5000  0.7528
Y  0.5000  0.0000  0.2472
Y  0.5000  0.0000  0.7528
Y  0.5000  0.5000  0.2472
Y  0.5000  0.5000  0.7528

=====

No. 6
Structure and calculated powder diffractogram of Yb2Ge6Pd (the PBE geometry in Alexandria; Cu Kα, 1.54184 Å).
Neutral-atom scattering factors, no anomalous dispersion.

Peak list (10 most intense, 2θ = 10–90°, by angle)
| Position (°2θ) | I/Imax |
| --- | --- |
| 25.1 | 11.5 |
| 32.6 | 41.6 |
| 33.2 | 100.0 |
| 37.1 | 16.0 |
| 43.3 | 20.6 |
| 43.5 | 23.7 |
| 44.7 | 21.3 |
| 56.5 | 15.3 |
| 63.1 | 15.0 |
| 64.2 | 13.3 |

Structural model:
Unit cell a=5.8076 b=5.8076 c=21.9289 alpha=90.00 beta=90.00 gamma=88.47
Fractional positions:
Yb  0.1247  0.3747  0.0817
Yb  0.1253  0.3753  0.4183
Yb  0.3753  0.1253  0.5817
Yb  0.3747  0.1247  0.9183
Yb  0.6253  0.8753  0.0817
Yb  0.6247  0.8747  0.4183
Yb  0.8747  0.6247  0.5817
Yb  0.8753  0.6253  0.9183
Ge  0.0944  0.9056  0.8067
Ge  0.0982  0.3488  0.8068
Ge  0.1192  0.8808  0.0395
Ge  0.1309  0.8691  0.4707
Ge  0.1512  0.4018  0.6932
Ge  0.1549  0.8451  0.6927
Ge  0.3451  0.6549  0.1927
Ge  0.3488  0.0982  0.1932
Ge  0.3691  0.6309  0.9707
Ge  0.3808  0.6192  0.5395
Ge  0.4018  0.1512  0.3068
Ge  0.4056  0.5944  0.3067
Ge  0.5944  0.4056  0.6933
Ge  0.5982  0.8488  0.6932
Ge  0.6192  0.3808  0.4605
Ge  0.6309  0.3691  0.0293
Ge  0.6512  0.9018  0.8068
Ge  0.6549  0.3451  0.8073
Ge  0.8451  0.1549  0.3073
Ge  0.8488  0.5982  0.3068
Ge  0.8691  0.1309  0.5293
Ge  0.8808  0.1192  0.9605
Ge  0.9018  0.6512  0.1932
Ge  0.9056  0.0944  0.1933
Pd  0.1254  0.8746  0.3576
Pd  0.3746  0.6254  0.8576
Pd  0.6254  0.3746  0.1424
Pd  0.8746  0.1254  0.6424

=====

No. 7
Structure and calculated powder diffractogram of Ba4AgRu3O12 (the PBE geometry in Alexandria; Cu Kα, 1.54184 Å).
Neutral-atom scattering factors, no anomalous dispersion.

Peak list (9 most intense, 2θ = 10–90°, by angle)
| Position (°2θ) | I/Imax |
| --- | --- |
| 30.4 | 100.0 |
| 37.5 | 4.3 |
| 43.5 | 30.3 |
| 54.0 | 39.3 |
| 63.2 | 18.5 |
| 71.8 | 17.4 |
| 75.9 | 1.2 |
| 79.9 | 6.1 |
| 87.8 | 21.1 |

Structural model:
Unit cell a=7.2030 b=7.2030 c=7.2030 alpha=109.47 beta=109.47 gamma=109.47
Fractional positions:
Ba  0.0000  0.0000  0.5000
Ba  0.0000  0.5000  0.0000
Ba  0.5000  0.0000  0.0000
Ba  0.5000  0.5000  0.5000
Ag  0.0000  0.0000  0.0000
Ru  0.0000  0.5000  0.5000
Ru  0.5000  0.0000  0.5000
Ru  0.5000  0.5000  0.0000
O  0.0000  0.2700  0.2700
O  0.0000  0.7300  0.7300
O  0.2500  0.5000  0.7500
O  0.2500  0.7500  0.5000
O  0.2700  0.0000  0.2700
O  0.2700  0.2700  0.0000
O  0.5000  0.2500  0.7500
O  0.5000  0.7500  0.2500
O  0.7300  0.0000  0.7300
O  0.7300  0.7300  0.0000
O  0.7500  0.2500  0.5000
O  0.7500  0.5000  0.2500

=====

No. 8
Structure and calculated powder diffractogram of Pr5ErSn4 (the PBE geometry in Alexandria; Cu Kα, 1.54184 Å).
Neutral-atom scattering factors, no anomalous dispersion.

Peak list (10 most intense, 2θ = 10–90°, by angle)
| Position (°2θ) | I/Imax |
| --- | --- |
| 22.9 | 22.4 |
| 32.1 | 54.5 |
| 32.9 | 52.2 |
| 33.4 | 100.0 |
| 33.9 | 96.2 |
| 46.7 | 38.9 |
| 57.8 | 20.4 |
| 59.2 | 19.7 |
| 59.4 | 19.4 |
| 61.1 | 26.0 |

Structural model:
Unit cell a=8.7913 b=8.7913 c=7.3083 alpha=90.93 beta=90.93 gamma=36.02
Fractional positions:
Pr  0.0000  0.0000  0.0000
Pr  0.3326  0.3326  0.4933
Pr  0.3346  0.3346  0.0011
Pr  0.6654  0.6654  0.9989
Pr  0.6674  0.6674  0.5067
Er  0.0000  0.0000  0.5000
Sn  0.1723  0.1723  0.7482
Sn  0.4925  0.4925  0.7394
Sn  0.5075  0.5075  0.2606
Sn  0.8277  0.8277  0.2518